The following is a calculated XRD peak list of LiLaNb4O12. It was derived from a DFT-relaxed cell (GGA-PBE, the Materials Project), using λ = 1.5418 Å (Cu Kα).
Lines closer than 0.1° are merged.

Structural model:
Lattice parameters (Å, degrees): 17.9020 7.9648 11.3045 90.00 108.78 90.00
Space group Cm (No. 8)
Symmetry-distinct sites (fractional):
1 Li 0.0000 0.0000 0.0000 x2
2 Li 0.9995 0.5000 0.4991 x2
3 Li 0.1661 0.0000 0.8328 x2
4 La 0.1671 0.5000 0.8332 x2
5 La 0.3330 0.0000 0.1674 x2
6 La 0.4994 0.5000 0.4985 x2
7 Nb 0.0011 0.2498 0.2480 x4
8 Nb 0.1655 0.2524 0.0870 x4
9 Nb 0.1695 0.2499 0.5801 x4
10 Nb 0.3305 0.2515 0.4171 x4
11 Nb 0.3347 0.2501 0.9151 x4
12 Nb 0.4974 0.2491 0.7506 x4
13 O 0.0052 0.0000 0.7414 x2
14 O 0.0088 0.5000 0.7472 x2
15 O 0.0758 0.2445 0.4245 x4
16 O 0.0796 0.2387 0.1591 x4
17 O 0.0831 0.2494 0.6673 x4
18 O 0.0896 0.2516 0.9097 x4
19 O 0.1568 0.0000 0.5871 x2
20 O 0.1602 0.5000 0.5952 x2
21 O 0.1687 0.5000 0.0697 x2
22 O 0.1738 0.0000 0.0774 x2
23 O 0.2421 0.2560 0.7567 x4
24 O 0.2488 0.2472 0.9978 x4
25 O 0.2499 0.2500 0.4995 x4
26 O 0.2562 0.2393 0.2432 x4
27 O 0.3251 0.5000 0.9172 x2
28 O 0.3282 0.0000 0.9269 x2
29 O 0.3395 0.0000 0.4048 x2
30 O 0.3432 0.5000 0.4167 x2
31 O 0.4111 0.2437 0.0884 x4
32 O 0.4174 0.2478 0.3340 x4
33 O 0.4200 0.2614 0.8403 x4
34 O 0.4240 0.2554 0.5755 x4
35 O 0.4911 0.0000 0.2526 x2
36 O 0.4970 0.5000 0.2599 x2

Top 6 peaks for 2θ = 15–90°, in order of falling intensity:
h k l, 2theta, I (rel.)
6 0 0, 31.67, 100
2 0 2, 22.32, 59
2 2 2, 31.77, 50
4 0 4, 45.55, 43
8 2 2, 56.54, 40
3 1 0, 19.26, 31